This entry pairs a crystal structure of Ta2Al8Zn with its computed X-ray diffraction stick pattern. Radiation: CuKα. Structure: a crystal structure in Alexandria, relaxed with GGA-PBE.
No peak broadening, texture or thermal motion is included.

Atomic structure:
```
Ta2Al8Zn
1.0
4.2124 -5.6762 0.0000
4.2124 5.6762 0.0000
0.0000 0.0000 4.0760
Ta Al Zn
2 8 1
Direct
0.1234 0.8766 0.0000
0.8766 0.1234 0.0000
0.1712 0.1712 0.5000
0.1807 0.4693 0.0000
0.2715 0.7285 0.5000
0.4693 0.1807 0.0000
0.5307 0.8193 0.0000
0.7285 0.2715 0.5000
0.8193 0.5307 0.0000
0.8288 0.8288 0.5000
0.5000 0.5000 0.5000
```

Peak list (10 most intense, 2θ = 10–90°, low angle first)
13.09°, d 6.765, rel. 86.3
21.09°, d 4.212, rel. 77.7
21.80°, d 4.076, rel. 38.6
25.51°, d 3.491, rel. 100.0
25.81°, d 3.452, rel. 31.2
38.66°, d 2.329, rel. 85.9
39.78°, d 2.266, rel. 83.7
39.98°, d 2.255, rel. 39.9
44.45°, d 2.038, rel. 76.0
59.14°, d 1.562, rel. 23.0